La2CoNiO6: simulated powder diffraction line list (a wavelength of 1.5418 Å), based on DFT lattice parameters and positions (PBE+U).
Intensities are scaled so that the largest is 100.

Structure:
Unit cell a=5.4924 b=5.6251 c=7.7381 alpha=90.64 beta=91.55 gamma=90.80
Element x y z (fractional)
La 0.0007 0.4979 0.2501
La 0.4982 0.0012 0.2514
La 0.5018 0.9988 0.7486
La 0.9993 0.5021 0.7499
Co 0.0000 0.0000 0.0000
Co 0.5000 0.5000 0.5000
Ni 0.0000 0.0000 0.5000
Ni 0.5000 0.5000 0.0000
O 0.0054 0.0617 0.2376
O 0.2146 0.3011 0.5259
O 0.2145 0.7102 0.0319
O 0.2853 0.2103 0.9689
O 0.2924 0.7894 0.4684
O 0.5005 0.4340 0.2542
O 0.4995 0.5660 0.7458
O 0.7076 0.2106 0.5316
O 0.7147 0.7897 0.0311
O 0.7855 0.2898 0.9681
O 0.7854 0.6989 0.4741
O 0.9946 0.9383 0.7624

Principal peaks in the range 2θ = 10–90°, by angle:
| index | d_spacing | two_theta | I_rel |
| --- | --- | --- | --- |
| 1 -1 0 | 3.957 | 22.5 | 12 |
| 0 2 0 | 2.812 | 31.8 | 51 |
| 1 1 -2 | 2.783 | 32.2 | 96 |
| 2 0 0 | 2.747 | 32.6 | 100 |
| 1 1 2 | 2.710 | 33.1 | 48 |
| 2 -2 0 | 1.978 | 45.9 | 30 |
| 2 2 0 | 1.950 | 46.6 | 29 |
| 0 0 4 | 1.934 | 47.0 | 28 |
| 1 3 -2 | 1.619 | 56.9 | 23 |
| -1 3 2 | 1.617 | 56.9 | 12 |
| 2 0 -4 | 1.602 | 57.5 | 21 |
| -2 2 4 | 1.392 | 67.3 | 16 |